La2YCr: calculated PXRD pattern (Cu Kα, 1.54184 Å), based on DFT lattice parameters and positions (PBE).
Neutral-atom scattering factors, no anomalous dispersion.

Most intense lines, 15° ≤ 2θ ≤ 90°, by angle:
26.2 deg, rel. 31, hkl 1 0 1
29.9 deg, rel. 16, hkl 0 0 3
31.4 deg, rel. 100, hkl 1 0 2
34.5 deg, rel. 49, hkl 1 1 0
46.2 deg, rel. 19, hkl 1 1 3
49.5 deg, rel. 17, hkl 2 0 0
54.0 deg, rel. 10, hkl 1 1 4
57.1 deg, rel. 13, hkl 1 0 5
59.8 deg, rel. 31, hkl 2 1 2
78.9 deg, rel. 10, hkl 2 1 5

Structural model:
a = 3.6809 Å, b = 3.6809 Å, c = 8.9709 Å
α = 90.00°, β = 90.00°, γ = 90.00°
Space group P4mm (No. 99)
Unique sites:
La1 0.0000 0.0000 0.0000 [1 per cell]
La2 0.5000 0.5000 0.3062 [1 per cell]
Y1 0.0000 0.0000 0.6038 [1 per cell]
Cr1 0.5000 0.5000 0.7934 [1 per cell]

=====

La2ZrCr: calculated PXRD pattern (Cu Kα, 1.54184 Å), based on DFT lattice parameters and positions (PBE).
Neutral-atom scattering factors, no anomalous dispersion.

Most intense lines, 15° ≤ 2θ ≤ 90°, by angle:
19.4 deg, rel. 8, hkl 0 0 2
25.8 deg, rel. 8, hkl 1 1 0
32.4 deg, rel. 100, hkl 1 1 2
36.8 deg, rel. 35, hkl 2 0 0
39.4 deg, rel. 15, hkl 0 0 4
53.0 deg, rel. 12, hkl 2 2 0
54.9 deg, rel. 22, hkl 2 0 4
63.5 deg, rel. 28, hkl 3 1 2
67.0 deg, rel. 12, hkl 1 1 6
67.9 deg, rel. 11, hkl 2 2 4

Structural model:
a = 4.8911 Å, b = 4.8911 Å, c = 9.1578 Å
α = 90.00°, β = 90.00°, γ = 90.00°
Space group I4/mmm (No. 139)
Unique sites:
La1 0.0000 0.5000 0.2500 [4 per cell]
Zr1 0.0000 0.0000 0.0000 [2 per cell]
Cr1 0.0000 0.0000 0.5000 [2 per cell]

=====

La2ZrCr: calculated PXRD pattern (Cu Kα, 1.54184 Å), based on DFT lattice parameters and positions (PBE).
Neutral-atom scattering factors, no anomalous dispersion.

Most intense lines, 15° ≤ 2θ ≤ 90°, by angle:
30.5 deg, rel. 17, hkl 0 1 3
33.5 deg, rel. 100, hkl 1 1 2
34.6 deg, rel. 23, hkl 0 2 0
47.3 deg, rel. 9, hkl 2 0 0
48.8 deg, rel. 8, hkl 1 0 5
49.0 deg, rel. 9, hkl 0 2 4
59.9 deg, rel. 9, hkl 2 2 0
61.2 deg, rel. 9, hkl 1 2 5
61.3 deg, rel. 15, hkl 1 3 2
79.0 deg, rel. 7, hkl 3 1 2

Structural model:
a = 3.8449 Å, b = 5.1857 Å, c = 10.6666 Å
α = 90.00°, β = 90.00°, γ = 90.00°
Space group Immm (No. 71)
Unique sites:
La1 0.0000 0.0000 0.2126 [4 per cell]
Zr1 0.0000 0.5000 0.0000 [2 per cell]
Cr1 0.0000 0.5000 0.5000 [2 per cell]

=====

LiCr4: calculated PXRD pattern (Cu Kα, 1.54184 Å), based on DFT lattice parameters and positions (PBE).
Neutral-atom scattering factors, no anomalous dispersion.

Most intense lines, 15° ≤ 2θ ≤ 90°, by angle:
23.8 deg, rel. 10, hkl 1 1 0
27.2 deg, rel. 29, hkl 1 0 1
33.9 deg, rel. 4, hkl 2 0 0
43.2 deg, rel. 27, hkl 0 0 2
44.0 deg, rel. 100, hkl 2 1 1
48.7 deg, rel. 5, hkl 2 2 0
54.9 deg, rel. 26, hkl 1 3 0
72.3 deg, rel. 21, hkl 1 3 2
79.8 deg, rel. 14, hkl 2 1 3
81.3 deg, rel. 6, hkl 4 2 0

Structural model:
a = 5.2899 Å, b = 5.2899 Å, c = 4.1863 Å
α = 90.00°, β = 90.00°, γ = 90.00°
Space group I4/m (No. 87)
Unique sites:
Li1 0.0000 0.0000 0.0000 [2 per cell]
Cr1 0.0881 0.2908 0.5000 [8 per cell]